# Ca2AcIrO8
Theoretical PXRD pattern, Cu Kα (weighted mean of Kα1 and Kα2). Input: a PBE-relaxed structure.
Kinematic intensities with the Lorentz-polarization factor, no thermal factor.

Structural model:
Unit cell a=4.799 b=5.005 c=7.249 alpha=89.85 beta=89.99 gamma=88.44
Fractional positions:
Ca 0.001 0.499 0.266
Ca 0.999 0.501 0.734
Ac 0.500 0.000 0.000
Ir 0.500 0.000 0.500
O 0.033 0.250 0.000
O 0.159 0.188 0.501
O 0.381 0.772 0.306
O 0.383 0.770 0.695
O 0.617 0.230 0.305
O 0.619 0.228 0.694
O 0.841 0.812 0.499
O 0.967 0.750 0.000

The 12 most intense peaks (2θ from 10° to 80°), by intensity:
30.5 deg, I = 1000
17.7 deg, I = 863
26.1 deg, I = 765
25.4 deg, I = 738
18.5 deg, I = 670
30.9 deg, I = 619
24.6 deg, I = 395
35.6 deg, I = 388
37.5 deg, I = 307
48.6 deg, I = 296
49.5 deg, I = 240
47.6 deg, I = 204

=====

# Sm14HoTh
Theoretical PXRD pattern, Cu Kα (weighted mean of Kα1 and Kα2). Input: a PBE-relaxed structure.
Kinematic intensities with the Lorentz-polarization factor, no thermal factor.

Structural model:
Unit cell a=7.235 b=7.235 c=10.253 alpha=90.00 beta=90.00 gamma=90.00
Fractional positions:
Sm 0.000 0.000 0.000
Sm 0.000 0.500 0.000
Sm 0.000 0.500 0.500
Sm 0.248 0.248 0.253
Sm 0.248 0.248 0.747
Sm 0.248 0.752 0.253
Sm 0.248 0.752 0.747
Sm 0.500 0.000 0.000
Sm 0.500 0.000 0.500
Sm 0.500 0.500 0.000
Sm 0.752 0.248 0.253
Sm 0.752 0.248 0.747
Sm 0.752 0.752 0.253
Sm 0.752 0.752 0.747
Ho 0.500 0.500 0.500
Th 0.000 0.000 0.500

The 7 most intense peaks (2θ from 10° to 80°), by intensity:
30.2 deg, I = 1000
35.1 deg, I = 507
59.9 deg, I = 432
50.4 deg, I = 363
62.9 deg, I = 125
74.1 deg, I = 38
74.0 deg, I = 19

=====

# Nd3Cu2Pt
Theoretical PXRD pattern, Cu Kα (weighted mean of Kα1 and Kα2). Input: a PBE-relaxed structure.
Kinematic intensities with the Lorentz-polarization factor, no thermal factor.

Structural model:
Unit cell a=12.110 b=4.407 c=11.177 alpha=90.00 beta=90.00 gamma=90.00
Fractional positions:
Nd 0.053 0.250 0.125
Nd 0.113 0.750 0.566
Nd 0.222 0.250 0.803
Nd 0.278 0.750 0.303
Nd 0.387 0.250 0.066
Nd 0.447 0.750 0.625
Nd 0.553 0.250 0.375
Nd 0.613 0.750 0.934
Nd 0.722 0.250 0.697
Nd 0.778 0.750 0.197
Nd 0.887 0.250 0.434
Nd 0.947 0.750 0.875
Cu 0.016 0.750 0.305
Cu 0.197 0.750 0.013
Cu 0.303 0.250 0.513
Cu 0.484 0.250 0.805
Cu 0.516 0.750 0.195
Cu 0.697 0.750 0.487
Cu 0.803 0.250 0.987
Cu 0.984 0.250 0.695
Pt 0.126 0.250 0.377
Pt 0.374 0.750 0.877
Pt 0.626 0.250 0.123
Pt 0.874 0.750 0.623

The 12 most intense peaks (2θ from 10° to 80°), by intensity:
41.0 deg, I = 1000
31.4 deg, I = 976
34.1 deg, I = 951
36.9 deg, I = 619
10.8 deg, I = 444
26.3 deg, I = 335
29.7 deg, I = 268
49.4 deg, I = 249
32.9 deg, I = 247
16.7 deg, I = 239
38.0 deg, I = 218
46.4 deg, I = 217

=====

# CeAl9Pd2
Theoretical PXRD pattern, Cu Kα (weighted mean of Kα1 and Kα2). Input: a PBE-relaxed structure.
Kinematic intensities with the Lorentz-polarization factor, no thermal factor.

Structural model:
Unit cell a=8.393 b=8.393 c=8.393 alpha=100.53 beta=100.53 gamma=129.37
Fractional positions:
Ce 0.375 0.625 0.750
Ce 0.625 0.375 0.250
Al 0.125 0.875 0.250
Al 0.132 0.558 0.330
Al 0.132 0.802 0.574
Al 0.198 0.272 0.330
Al 0.198 0.868 0.926
Al 0.272 0.198 0.830
Al 0.272 0.442 0.074
Al 0.442 0.272 0.574
Al 0.442 0.868 0.170
Al 0.558 0.132 0.830
Al 0.558 0.728 0.426
Al 0.728 0.558 0.926
Al 0.728 0.802 0.170
Al 0.802 0.132 0.074
Al 0.802 0.728 0.670
Al 0.868 0.198 0.426
Al 0.868 0.442 0.670
Al 0.875 0.125 0.750
Pd 0.000 0.000 0.000
Pd 0.000 0.000 0.500
Pd 0.000 0.500 0.000
Pd 0.500 0.000 0.500

The 12 most intense peaks (2θ from 10° to 80°), by intensity:
22.3 deg, I = 1000
32.6 deg, I = 709
36.4 deg, I = 593
45.5 deg, I = 440
38.6 deg, I = 352
33.4 deg, I = 349
37.5 deg, I = 340
47.4 deg, I = 241
30.0 deg, I = 235
56.8 deg, I = 223
27.5 deg, I = 201
77.4 deg, I = 180